No. 1
Structure and computed XRD peak list of Pr6In2Te (a structure optimized by DFT (GGA-PBE); a wavelength of 1.5418 Å).
No peak broadening, texture or thermal motion is included.

Peak list (8 most intense, 5 to 70 degrees two-theta, by intensity)
2θ = 29.05°, I 100.0
2θ = 31.32°, I 68.9
2θ = 34.88°, I 56.9
2θ = 30.65°, I 37.2
2θ = 56.30°, I 36.0
2θ = 56.16°, I 28.6
2θ = 37.40°, I 24.1
2θ = 42.57°, I 20.8

```
Pr6In2Te
1.0
4.2474 0.0000 0.0000
0.0000 7.7164 4.4560
0.0000 -7.7164 4.4560
Pr In Te
6 2 1
direct
0.0000 0.0000 0.0000
0.0000 0.4496 0.7242
0.0000 0.7242 0.4496
0.5000 0.1216 0.7247
0.5000 0.3275 0.3275
0.5000 0.7247 0.1216
0.0000 0.0577 0.3914
0.0000 0.3914 0.0577
0.5000 0.7251 0.7251
```

***

No. 2
Structure and computed XRD peak list of TmTl2Ge2O6 (a structure optimized by DFT (GGA-PBE); a wavelength of 1.5418 Å).
No peak broadening, texture or thermal motion is included.

Peak list (8 most intense, 5 to 70 degrees two-theta, by intensity)
2θ = 29.61°, I 100.0
2θ = 30.00°, I 56.9
2θ = 26.52°, I 30.0
2θ = 30.94°, I 20.1
2θ = 43.30°, I 18.3
2θ = 39.57°, I 18.2
2θ = 52.68°, I 16.1
2θ = 25.73°, I 15.3

```
TmTl2Ge2O6
1.0
5.2190 -3.0239 0.0000
5.2190 3.0239 0.0000
-3.7277 0.0000 5.9516
Tm Tl Ge O
1 2 2 6
direct
0.0000 0.0000 0.0000
0.2091 0.2091 0.6653
0.7909 0.7909 0.3347
0.4438 0.4438 0.2785
0.5562 0.5562 0.7215
0.2358 0.7175 0.7559
0.2491 0.2491 0.1601
0.2825 0.7642 0.2441
0.7175 0.2358 0.7559
0.7509 0.7509 0.8399
0.7642 0.2825 0.2441
```

***

No. 3
Structure and computed XRD peak list of Na2Pb3Au2 (a structure optimized by DFT (GGA-PBE); a wavelength of 1.5418 Å).
No peak broadening, texture or thermal motion is included.

Peak list (8 most intense, 5 to 70 degrees two-theta, by intensity)
2θ = 16.79°, I 100.0
2θ = 34.03°, I 80.7
2θ = 31.35°, I 35.1
2θ = 34.19°, I 34.3
2θ = 38.37°, I 33.2
2θ = 39.99°, I 32.7
2θ = 43.64°, I 25.0
2θ = 37.99°, I 24.7

```
Na2Pb3Au2
1.0
11.0918 0.0000 0.0000
0.0000 4.5089 0.0000
-3.0583 0.0000 7.7248
Na Pb Au
4 6 4
direct
0.1559 0.0000 0.3190
0.3441 0.5000 0.6810
0.6559 0.5000 0.3190
0.8441 0.0000 0.6810
0.0000 0.5000 0.5000
0.1267 0.5000 0.9462
0.3733 0.0000 0.0538
0.5000 0.0000 0.5000
0.6267 0.0000 0.9462
0.8733 0.5000 0.0538
0.1493 0.0000 0.7165
0.3507 0.5000 0.2835
0.6493 0.5000 0.7165
0.8507 0.0000 0.2835
```

***

No. 4
Structure and computed XRD peak list of Rb2CdInH6 (a structure optimized by DFT (GGA-PBE); a wavelength of 1.5418 Å).
No peak broadening, texture or thermal motion is included.

Peak list (7 most intense, 5 to 70 degrees two-theta, by intensity)
2θ = 29.76°, I 100.0
2θ = 52.82°, I 38.7
2θ = 42.59°, I 19.4
2θ = 61.81°, I 12.3
2θ = 20.93°, I 2.8
2θ = 47.92°, I 1.2
2θ = 36.67°, I 0.6

```
Rb2CdInH6
1.0
0.0000 4.2452 4.2452
4.2452 0.0000 4.2452
4.2452 4.2452 0.0000
Rb Cd In H
2 1 1 6
direct
0.2500 0.2500 0.2500
0.7500 0.7500 0.7500
0.0000 0.0000 0.0000
0.5000 0.5000 0.5000
0.2541 0.2541 0.7459
0.2541 0.7459 0.2541
0.2541 0.7459 0.7459
0.7459 0.2541 0.2541
0.7459 0.2541 0.7459
0.7459 0.7459 0.2541
```